For Ho8Ga3Co, the GGA-PBE geometry in Alexandria gives the simulated X-ray diffraction stick pattern in this record (Cu Kα X-rays).
Kinematic intensities with the Lorentz-polarization factor, no thermal factor.

Most intense lines, 2θ = 15–90°, by angle:
two_theta  d (Å)  I (rel.)
24.32  3.660  18
30.29  2.950  46
31.53  2.837  23
33.24  2.695  100
33.74  2.656  20
36.03  2.493  90
40.59  2.223  12
49.83  1.830  17
61.81  1.501  17
65.84  1.419  12

Structure:
```
Ho8Ga3Co
1.0
9.970 0.000 0.000
-4.985 8.635 0.000
0.000 0.000 6.901
Ho Ga Co
16 6 2
Direct
0.000 0.000 0.025
0.000 0.000 0.525
0.073 0.537 0.000
0.173 0.346 0.303
0.173 0.827 0.303
0.333 0.667 0.620
0.346 0.173 0.803
0.463 0.537 0.000
0.463 0.927 0.000
0.537 0.073 0.500
0.537 0.463 0.500
0.654 0.827 0.303
0.667 0.333 0.120
0.827 0.173 0.803
0.827 0.654 0.803
0.927 0.463 0.500
0.163 0.327 0.752
0.163 0.837 0.752
0.327 0.163 0.252
0.673 0.837 0.752
0.837 0.163 0.252
0.837 0.673 0.252
0.333 0.667 0.234
0.667 0.333 0.734
```

---

For Ho3GaCo3, the GGA-PBE geometry in Alexandria gives the simulated X-ray diffraction stick pattern in this record (Cu Kα X-rays).
Kinematic intensities with the Lorentz-polarization factor, no thermal factor.

Most intense lines, 2θ = 15–90°, by angle:
two_theta  d (Å)  I (rel.)
27.54  3.239  31
31.74  2.819  75
33.24  2.695  60
34.96  2.567  100
36.88  2.437  89
41.01  2.201  71
42.00  2.151  35
44.76  2.025  51
59.21  1.560  30
63.05  1.474  38

Structure:
```
Ho3GaCo3
1.0
2.025 -4.978 0.000
2.025 4.978 0.000
0.000 0.000 12.823
Ho Ga Co
6 2 6
Direct
0.007 0.993 0.750
0.294 0.706 0.604
0.294 0.706 0.896
0.706 0.294 0.104
0.706 0.294 0.396
0.993 0.007 0.250
0.000 0.000 0.000
0.000 0.000 0.500
0.293 0.707 0.250
0.416 0.584 0.095
0.416 0.584 0.405
0.584 0.416 0.595
0.584 0.416 0.905
0.707 0.293 0.750
```